For K2LiNb6P3O24, a DFT-relaxed cell (PBE, Alexandria) gives the theoretical X-ray diffraction stick pattern in this record (CuKα).

Atomic structure:
a b c (Å): 8.537 8.539 8.552
angles (deg): 104.09 104.15 103.80
Element x y z (fractional)
K  0.000  0.000  0.000
K  0.494  0.456  0.589
Li  0.366  0.015  0.772
Nb  0.113  0.638  0.709
Nb  0.304  0.771  0.395
Nb  0.599  0.576  0.207
Nb  0.797  0.255  0.326
Nb  0.922  0.458  0.012
Nb  0.983  0.959  0.521
P  0.235  0.336  0.869
P  0.457  0.889  0.093
P  0.684  0.117  0.645
O  0.032  0.823  0.685
O  0.091  0.321  0.948
O  0.116  0.608  0.220
O  0.168  0.928  0.445
O  0.210  0.160  0.743
O  0.247  0.472  0.777
O  0.279  0.689  0.582
O  0.327  0.866  0.921
O  0.370  0.901  0.232
O  0.407  0.386  0.014
O  0.470  0.650  0.352
O  0.510  0.988  0.618
O  0.534  0.742  0.077
O  0.604  0.058  0.141
O  0.650  0.413  0.307
O  0.668  0.197  0.501
O  0.730  0.265  0.815
O  0.758  0.553  0.062
O  0.807  0.772  0.364
O  0.825  0.031  0.661
O  0.893  0.300  0.161
O  0.938  0.123  0.404
O  0.955  0.463  0.522
O  0.999  0.596  0.880

Top 10 peaks for 2θ = 10–90°, by angle:
2θ 11.27, I = 26.7, hkl 1 0 0; 2θ 13.15, I = 63.0, hkl 0 1 -1; 2θ 18.35, I = 35.3, hkl 1 1 0; 2θ 25.14, I = 46.4, hkl 1 1 1; 2θ 26.48, I = 100.0, hkl 2 -2 0; 2θ 28.47, I = 17.0, hkl 1 0 2; 2θ 28.83, I = 17.7, hkl 1 -2 2; 2θ 32.41, I = 13.4, hkl 1 -3 0; 2θ 36.82, I = 21.8, hkl 1 3 -1; 2θ 46.79, I = 12.3, hkl -4 2 2